Entry 1:
Structure and simulated PXRD pattern of Hf5Zn4Os (a crystal structure in Alexandria, relaxed with GGA-PBE; a wavelength of 1.5418 Å).

Structural model:
```
10
Lattice="3.2839 0.0000 0.0000 0.0000 3.2839 0.0000 0.0000 0.0000 16.5360" Properties=species:S:1:pos:R:3 pbc="T T T"
Hf 0.0000 0.0000 0.0000
Hf 0.0000 0.0000 3.3174
Hf 0.0000 0.0000 6.6576
Hf 0.0000 0.0000 9.8784
Hf 0.0000 0.0000 13.2186
Zn 1.6420 1.6420 1.6544
Zn 1.6420 1.6420 4.9588
Zn 1.6420 1.6420 11.5772
Zn 1.6420 1.6420 14.8816
Os 1.6420 1.6420 8.2680
```

Top 10 peaks for 10° ≤ 2θ ≤ 90°, most intense first:
| 2θ/deg | d/Å | intensity |
| --- | --- | --- |
| 38.6 | 2.330 | 1000 |
| 38.8 | 2.322 | 496 |
| 70.1 | 1.342 | 345 |
| 69.8 | 1.347 | 174 |
| 56.0 | 1.642 | 170 |
| 27.2 | 3.284 | 113 |
| 82.9 | 1.165 | 110 |
| 55.6 | 1.654 | 88 |
| 27.0 | 3.307 | 57 |
| 83.2 | 1.161 | 55 |

=====

Entry 2:
Structure and simulated PXRD pattern of Pr3Sm4Ho2 (a crystal structure in Alexandria, relaxed with GGA-PBE; a wavelength of 1.5418 Å).

Structural model:
```
9
Lattice="6.2843 0.0000 0.0000 3.1412 5.4531 0.0000 3.1119 1.8350 8.9117" Properties=species:S:1:pos:R:3 pbc="T T T"
Pr 0.0000 0.0000 0.0000
Pr 7.3064 5.4647 5.9314
Pr 5.2310 1.8234 2.9803
Sm 4.1709 3.6589 5.9369
Sm 6.2492 3.6410 8.9111
Sm 6.2882 3.6471 0.0006
Sm 8.3665 3.6291 2.9748
Ho 5.2261 5.4610 2.9803
Ho 7.3113 1.8271 5.9314
```

Top 10 peaks for 10° ≤ 2θ ≤ 90°, most intense first:
| 2θ/deg | d/Å | intensity |
| --- | --- | --- |
| 30.1 | 2.969 | 1000 |
| 34.9 | 2.571 | 450 |
| 30.2 | 2.960 | 331 |
| 50.3 | 1.816 | 321 |
| 59.7 | 1.549 | 287 |
| 35.0 | 2.566 | 224 |
| 59.6 | 1.552 | 193 |
| 50.1 | 1.820 | 162 |
| 62.6 | 1.485 | 124 |
| 59.8 | 1.547 | 95 |

=====

Entry 3:
Structure and simulated PXRD pattern of La4Pr5Pb2 (a crystal structure in Alexandria, relaxed with GGA-PBE; a wavelength of 1.5418 Å).

Structural model:
```
11
Lattice="2.5989 1.5005 20.2290 -2.5989 1.5005 20.2290 0.0000 -3.0010 20.2290" Properties=species:S:1:pos:R:3 pbc="T T T"
La 0.0000 0.0000 3.9069
La 0.0000 0.0000 10.7658
La 0.0000 0.0000 49.9212
La 0.0000 0.0000 56.7801
Pr 0.0000 0.0000 0.0000
Pr 0.0000 0.0000 7.4083
Pr 0.0000 0.0000 18.8492
Pr 0.0000 0.0000 41.8378
Pr 0.0000 0.0000 53.2787
Pb 0.0000 0.0000 22.6512
Pb 0.0000 0.0000 38.0357
```

Top 10 peaks for 10° ≤ 2θ ≤ 90°, most intense first:
| 2θ/deg | d/Å | intensity |
| --- | --- | --- |
| 30.8 | 2.901 | 1000 |
| 34.5 | 2.599 | 974 |
| 20.6 | 4.316 | 449 |
| 47.0 | 1.935 | 355 |
| 59.6 | 1.552 | 310 |
| 35.7 | 2.516 | 263 |
| 61.8 | 1.501 | 239 |
| 32.0 | 2.797 | 148 |
| 19.8 | 4.489 | 147 |
| 81.1 | 1.186 | 137 |

=====

Entry 4:
Structure and simulated PXRD pattern of Cd2P2Pt7 (a crystal structure in Alexandria, relaxed with GGA-PBE; a wavelength of 1.5418 Å).

Structural model:
```
11
Lattice="-1.9743 4.3072 5.9955 1.9743 -4.3072 5.9955 1.9743 4.3072 -5.9955" Properties=species:S:1:pos:R:3 pbc="T T T"
Cd 0.0000 0.0000 2.4210
Cd 0.0000 0.0000 9.5699
P 1.9743 2.8404 0.0000
P 0.0000 1.4668 5.9955
Pt 1.9743 1.9629 -2.0890
Pt 0.0000 1.4883 0.0000
Pt 1.9743 1.9629 2.0890
Pt 0.0000 4.3072 0.0000
Pt 0.0000 2.3443 3.9064
Pt 0.0000 7.1262 0.0000
Pt 0.0000 2.3443 8.0845
```

Top 10 peaks for 10° ≤ 2θ ≤ 90°, most intense first:
| 2θ/deg | d/Å | intensity |
| --- | --- | --- |
| 31.9 | 2.809 | 1000 |
| 38.3 | 2.353 | 844 |
| 41.7 | 2.166 | 816 |
| 46.0 | 1.974 | 411 |
| 20.6 | 4.307 | 393 |
| 45.4 | 1.998 | 326 |
| 31.6 | 2.829 | 297 |
| 32.1 | 2.793 | 283 |
| 49.2 | 1.851 | 278 |
| 49.7 | 1.836 | 212 |

=====

Entry 5:
Structure and simulated PXRD pattern of PmSm6Dy5 (a crystal structure in Alexandria, relaxed with GGA-PBE; a wavelength of 1.5418 Å).

Structural model:
```
12
Lattice="-2.5413 5.0770 7.6233 2.5413 -5.0770 7.6233 2.5413 5.0770 -7.6233" Properties=species:S:1:pos:R:3 pbc="T T T"
Pm 0.0000 0.0000 0.0000
Sm 2.5413 -2.5295 5.0791
Sm 2.5413 2.5535 0.0000
Sm 0.0000 2.5476 2.5442
Sm 2.5413 2.5295 5.0791
Sm 0.0000 2.5236 7.6233
Sm 0.0000 7.6065 2.5442
Dy 2.5413 0.0000 2.5496
Dy 0.0000 0.0000 5.0798
Dy 0.0000 5.0770 0.0000
Dy 0.0000 0.0000 10.1668
Dy 0.0000 5.0770 5.0738
```

Top 8 peaks for 10° ≤ 2θ ≤ 90°, most intense first:
| 2θ/deg | d/Å | intensity |
| --- | --- | --- |
| 30.5 | 2.933 | 1000 |
| 35.3 | 2.540 | 506 |
| 60.4 | 1.532 | 430 |
| 50.8 | 1.796 | 362 |
| 82.8 | 1.166 | 177 |
| 85.5 | 1.136 | 165 |
| 63.4 | 1.467 | 124 |
| 74.7 | 1.270 | 58 |

=====

Entry 6:
Structure and simulated PXRD pattern of InHg5Pb8 (a crystal structure in Alexandria, relaxed with GGA-PBE; a wavelength of 1.5418 Å).

Structural model:
```
14
Lattice="-4.7225 4.7225 4.7192 4.7225 -4.7225 4.7192 4.7225 4.7225 -4.7192" Properties=species:S:1:pos:R:3 pbc="T T T"
In 0.0000 0.0000 0.0000
Hg 2.3458 3.5376 -1.2055
Hg 5.9074 2.3458 1.2055
Hg 2.3767 1.1849 3.5137
Hg 0.0000 4.7225 2.3596
Hg -1.1849 2.3767 5.9247
Pb 3.1614 0.7853 0.3751
Pb 5.4939 3.1382 -1.9383
Pb 3.9372 -1.5611 4.3440
Pb -0.7714 1.5843 2.7809
Pb 3.1382 3.9511 1.9383
Pb 0.7853 6.2837 -0.3751
Pb 1.5843 0.7714 6.6574
Pb 1.5611 3.9372 5.0943
```

Top 10 peaks for 10° ≤ 2θ ≤ 90°, most intense first:
| 2θ/deg | d/Å | intensity |
| --- | --- | --- |
| 29.9 | 2.986 | 1000 |
| 35.6 | 2.524 | 914 |
| 60.4 | 1.532 | 308 |
| 47.2 | 1.928 | 222 |
| 63.9 | 1.457 | 181 |
| 49.2 | 1.852 | 149 |
| 42.8 | 2.111 | 141 |
| 62.2 | 1.493 | 122 |
| 73.7 | 1.285 | 120 |
| 89.2 | 1.098 | 117 |

=====

Entry 7:
Structure and simulated PXRD pattern of Dy4Ho3Ni4 (a crystal structure in Alexandria, relaxed with GGA-PBE; a wavelength of 1.5418 Å).

Structural model:
```
11
Lattice="-1.8799 4.4576 7.5603 1.8799 -4.4576 7.5603 1.8799 4.4576 -7.5603" Properties=species:S:1:pos:R:3 pbc="T T T"
Dy 1.8799 -2.7993 5.1352
Dy 0.0000 1.6583 2.4252
Dy 1.8799 2.7993 5.1352
Dy 0.0000 7.2569 2.4252
Ho 1.8799 0.0000 0.0000
Ho 0.0000 0.0000 5.9044
Ho 0.0000 0.0000 9.2163
Ni 1.8799 0.0000 3.6317
Ni 0.0000 3.0941 0.0000
Ni 0.0000 5.8211 0.0000
Ni 0.0000 4.4576 3.9286
```

Top 10 peaks for 10° ≤ 2θ ≤ 90°, most intense first:
| 2θ/deg | d/Å | intensity |
| --- | --- | --- |
| 35.1 | 2.557 | 1000 |
| 31.7 | 2.823 | 546 |
| 61.2 | 1.515 | 172 |
| 48.4 | 1.880 | 163 |
| 29.6 | 3.014 | 156 |
| 31.2 | 2.864 | 154 |
| 62.7 | 1.482 | 145 |
| 60.3 | 1.535 | 135 |
| 36.0 | 2.497 | 133 |
| 40.5 | 2.228 | 131 |

=====

Entry 8:
Structure and simulated PXRD pattern of MgHgI (a crystal structure in Alexandria, relaxed with GGA-PBE; a wavelength of 1.5418 Å).

Structural model:
```
3
Lattice="4.1902 0.0000 0.0000 -2.0951 3.6288 0.0000 0.0000 0.0000 6.3449" Properties=species:S:1:pos:R:3 pbc="T T T"
Mg 0.0000 0.0000 0.0000
Hg 0.0000 2.4192 1.5808
I 2.0951 1.2096 4.5988
```

Top 10 peaks for 10° ≤ 2θ ≤ 90°, most intense first:
| 2θ/deg | d/Å | intensity |
| --- | --- | --- |
| 28.3 | 3.150 | 1000 |
| 43.2 | 2.095 | 243 |
| 37.7 | 2.388 | 237 |
| 49.9 | 1.827 | 202 |
| 52.3 | 1.748 | 199 |
| 24.5 | 3.629 | 197 |
| 52.5 | 1.744 | 183 |
| 28.1 | 3.172 | 182 |
| 70.2 | 1.341 | 154 |
| 84.1 | 1.151 | 93 |

=====

Entry 9:
Structure and simulated PXRD pattern of MgPbF2 (a crystal structure in Alexandria, relaxed with GGA-PBE; a wavelength of 1.5418 Å).

Structural model:
```
4
Lattice="1.5978 0.9225 9.3232 -1.5978 0.9225 9.3232 0.0000 -1.8449 9.3232" Properties=species:S:1:pos:R:3 pbc="T T T"
Mg 0.0000 0.0000 0.0000
Pb 0.0000 0.0000 13.9847
F 0.0000 0.0000 10.2326
F 0.0000 0.0000 17.7369
```

Top 10 peaks for 10° ≤ 2θ ≤ 90°, most intense first:
| 2θ/deg | d/Å | intensity |
| --- | --- | --- |
| 19.0 | 4.662 | 1000 |
| 33.0 | 2.715 | 667 |
| 32.5 | 2.754 | 574 |
| 41.6 | 2.170 | 489 |
| 34.9 | 2.573 | 416 |
| 39.6 | 2.275 | 371 |
| 61.3 | 1.511 | 263 |
| 36.2 | 2.480 | 263 |
| 46.1 | 1.967 | 232 |
| 28.7 | 3.108 | 222 |

=====

Entry 10:
Structure and simulated PXRD pattern of Cs2ErSnS4 (a crystal structure in Alexandria, relaxed with GGA-PBE; a wavelength of 1.5418 Å).

Structural model:
```
16
Lattice="0.0000 7.5345 12.6631 3.3785 0.0000 12.6631 3.3785 7.5345 0.0000" Properties=species:S:1:pos:R:3 pbc="T T T"
Cs 2.5339 5.6509 1.4019
Cs 4.2232 9.4181 7.7334
Cs 2.5339 5.6509 17.5927
Cs 4.2232 9.4181 23.9243
Er 0.8446 1.8836 3.1658
Er 5.9124 13.1853 22.1604
Sn 2.5339 5.6509 9.4973
Sn 4.2232 9.4181 15.8288
S 2.5127 3.3333 4.4660
S 4.2444 7.1005 10.7976
S 2.5551 7.9685 4.4660
S 2.5551 3.3333 14.5286
S 4.2019 11.7357 10.7976
S 4.2019 7.1005 20.8601
S 2.5127 7.9685 14.5286
S 4.2444 11.7357 20.8601
```

Top 10 peaks for 10° ≤ 2θ ≤ 90°, most intense first:
| 2θ/deg | d/Å | intensity |
| --- | --- | --- |
| 24.2 | 3.683 | 1000 |
| 41.8 | 2.160 | 800 |
| 29.0 | 3.083 | 643 |
| 14.0 | 6.332 | 565 |
| 34.0 | 2.638 | 533 |
| 23.6 | 3.767 | 420 |
| 28.3 | 3.154 | 417 |
| 24.5 | 3.638 | 409 |
| 13.7 | 6.475 | 386 |
| 45.0 | 2.016 | 336 |

=====

Entry 11:
Structure and simulated PXRD pattern of Ho8AlSb6 (a crystal structure in Alexandria, relaxed with GGA-PBE; a wavelength of 1.5418 Å).

Structural model:
```
15
Lattice="10.5613 0.0000 0.0000 -5.2807 9.1464 0.0000 0.0000 0.0000 4.5545" Properties=species:S:1:pos:R:3 pbc="T T T"
Ho -3.5449 6.7524 1.1167
Ho 1.2054 2.7002 1.1167
Ho 2.9412 0.3062 3.4378
Ho 0.0000 6.0976 3.4299
Ho 5.2807 3.0488 1.1246
Ho 2.3395 8.8401 1.1167
Ho 4.0753 6.4461 3.4378
Ho 8.8255 2.3940 3.4378
Al 0.0000 0.0000 0.0000
Sb -1.3180 4.3407 1.1527
Sb -0.8625 8.1174 1.1527
Sb 3.1001 3.3117 3.4018
Sb 2.1805 5.8346 1.1527
Sb 6.1432 1.0289 3.4018
Sb 6.5986 4.8057 3.4018
```

Top 10 peaks for 10° ≤ 2θ ≤ 90°, most intense first:
| 2θ/deg | d/Å | intensity |
| --- | --- | --- |
| 32.5 | 2.754 | 1000 |
| 27.6 | 3.227 | 354 |
| 35.4 | 2.536 | 327 |
| 25.8 | 3.452 | 297 |
| 39.4 | 2.284 | 260 |
| 29.3 | 3.049 | 254 |
| 39.6 | 2.277 | 237 |
| 47.7 | 1.906 | 219 |
| 59.9 | 1.545 | 178 |
| 54.1 | 1.695 | 173 |